Simulated powder X-ray diffraction pattern of RbTmI3 for a wavelength of 1.5418 Å, from a PBE-relaxed structure.

Largest 6 diffraction maxima, by angle, 2θ from 10° to 90°:
index	Position (°2θ)	d (Å)	intensity
1 1 3	26.89	3.316	52
2 1 0	26.99	3.303	36
2 1 1	27.45	3.249	67
2 1 2	28.80	3.100	100
0 1 5	32.40	2.763	35
0 2 0	41.82	2.160	52

Structural model:
abc: 10.2457 4.3216 17.9662
angles: 90.00 90.00 90.00
Space group Pnma (No. 62)
Symmetry-distinct sites (fractional):
1 Rb 0.0704 0.2500 0.1724 [4 per cell]
2 Tm 0.1220 0.7500 0.4573 [4 per cell]
3 I 0.0467 0.7500 0.6237 [4 per cell]
4 I 0.1757 0.7500 0.0027 [4 per cell]
5 I 0.2298 0.2500 0.8060 [4 per cell]

---

Simulated powder X-ray diffraction pattern of Rb2UI5 for a wavelength of 1.5418 Å, from a PBE-relaxed structure.

Largest 6 diffraction maxima, by angle, 2θ from 10° to 90°:
index	Position (°2θ)	d (Å)	intensity
1 0 1	11.04	8.013	57
2 2 1	23.26	3.824	39
4 0 1	25.11	3.547	43
1 2 2	26.68	3.341	100
2 2 2	28.56	3.126	50
5 2 1	35.68	2.516	36

Structural model:
abc: 15.3202 9.9916 9.4022
angles: 90.00 90.00 90.00
Space group Pnma (No. 62)
Symmetry-distinct sites (fractional):
1 Rb 0.1749 0.0017 0.0372 [8 per cell]
2 U 0.0014 0.7500 0.5737 [4 per cell]
3 I 0.0119 0.7500 0.9163 [4 per cell]
4 I 0.0803 0.0424 0.6551 [8 per cell]
5 I 0.1662 0.7500 0.3645 [4 per cell]
6 I 0.1981 0.2500 0.3302 [4 per cell]

---

Simulated powder X-ray diffraction pattern of RbVI3 for a wavelength of 1.5418 Å, from a PBE-relaxed structure.

Largest 6 diffraction maxima, by angle, 2θ from 10° to 90°:
index	Position (°2θ)	d (Å)	intensity
1 1 0	12.62	7.015	19
0 0 2	25.36	3.512	34
2 2 1	28.44	3.139	100
2 2 2	36.18	2.483	22
6 0 0	44.75	2.025	24
6 0 2	52.12	1.755	17

Structural model:
abc: 14.0301 14.0301 7.0298
angles: 90.00 90.00 120.00
Space group P6_3cm (No. 185)
Symmetry-distinct sites (fractional):
1 Rb 0.0000 0.3314 0.0000 [6 per cell]
2 V 0.0000 0.0000 0.2044 [2 per cell]
3 V 0.3333 0.6667 0.3000 [4 per cell]
4 I 0.0000 0.1601 0.4526 [6 per cell]
5 I 0.1736 0.5060 0.5513 [12 per cell]

---

Simulated powder X-ray diffraction pattern of Rb3YI6 for a wavelength of 1.5418 Å, from a PBE-relaxed structure.

Largest 6 diffraction maxima, by angle, 2θ from 10° to 90°:
index	Position (°2θ)	d (Å)	intensity
2 0 0	13.62	6.501	31
2 2 2	23.71	3.753	88
4 0 0	27.44	3.250	100
4 4 0	39.19	2.298	73
6 2 2	46.32	1.960	38
8 4 0	64.06	1.454	29

Structural model:
abc: 13.0019 13.0019 13.0019
angles: 90.00 90.00 90.00
Space group Fm-3m (No. 225)
Symmetry-distinct sites (fractional):
1 Rb 0.0000 0.0000 0.0000 [4 per cell]
2 Rb 0.2500 0.2500 0.2500 [8 per cell]
3 Y 0.0000 0.0000 0.5000 [4 per cell]
4 I 0.0000 0.0000 0.2674 [24 per cell]

---

Repeat the third record exactly.
Simulated powder X-ray diffraction pattern of RbVI3 for a wavelength of 1.5418 Å, from a PBE-relaxed structure.

Largest 6 diffraction maxima, by angle, 2θ from 10° to 90°:
index	Position (°2θ)	d (Å)	intensity
1 1 0	12.62	7.015	19
0 0 2	25.36	3.512	34
2 2 1	28.44	3.139	100
2 2 2	36.18	2.483	22
6 0 0	44.75	2.025	24
6 0 2	52.12	1.755	17

Structural model:
abc: 14.0301 14.0301 7.0298
angles: 90.00 90.00 120.00
Space group P6_3cm (No. 185)
Symmetry-distinct sites (fractional):
1 Rb 0.0000 0.3314 0.0000 [6 per cell]
2 V 0.0000 0.0000 0.2044 [2 per cell]
3 V 0.3333 0.6667 0.3000 [4 per cell]
4 I 0.0000 0.1601 0.4526 [6 per cell]
5 I 0.1736 0.5060 0.5513 [12 per cell]